# NbN2Cl5
Simulated powder XRD pattern, CuKα. Input: a GGA-PBE-relaxed structure.

The 10 most intense peaks (2θ from 10° to 80°), low angle first:
Position (°2θ)	I/Imax
13.36	100
17.70	54
18.94	61
26.91	29
28.57	30
31.66	18
35.85	37
40.25	18
46.46	27
53.55	16

Cell and atoms:
a = 7.0852 Å, b = 7.0852 Å, c = 18.7453 Å
α = 90.00°, β = 90.00°, γ = 90.00°
Positions (direct):
Nb (0.0000, 0.0000, 0.1170)
Nb (0.0000, 0.0000, 0.8830)
Nb (0.5000, 0.5000, 0.3830)
Nb (0.5000, 0.5000, 0.6170)
N (0.0000, 0.0000, 0.0000)
N (0.0000, 0.0000, 0.5000)
N (0.0000, 0.5000, 0.2500)
N (0.0000, 0.5000, 0.7500)
N (0.5000, 0.0000, 0.2500)
N (0.5000, 0.0000, 0.7500)
N (0.5000, 0.5000, 0.0000)
N (0.5000, 0.5000, 0.5000)
Cl (0.0000, 0.0000, 0.2407)
Cl (0.0000, 0.0000, 0.7593)
Cl (0.1893, 0.2706, 0.1011)
Cl (0.1893, 0.2706, 0.8989)
Cl (0.2294, 0.3107, 0.3989)
Cl (0.2294, 0.3107, 0.6011)
Cl (0.2706, 0.8107, 0.1011)
Cl (0.2706, 0.8107, 0.8989)
Cl (0.3107, 0.7706, 0.3989)
Cl (0.3107, 0.7706, 0.6011)
Cl (0.5000, 0.5000, 0.2593)
Cl (0.5000, 0.5000, 0.7407)
Cl (0.6893, 0.2294, 0.3989)
Cl (0.6893, 0.2294, 0.6011)
Cl (0.7294, 0.1893, 0.1011)
Cl (0.7294, 0.1893, 0.8989)
Cl (0.7706, 0.6893, 0.3989)
Cl (0.7706, 0.6893, 0.6011)
Cl (0.8107, 0.7294, 0.1011)
Cl (0.8107, 0.7294, 0.8989)